Entry 1:
For K2YPCO7, a structure optimized by DFT (GGA-PBE) gives the calculated powder diffraction line list in this record (Cu Kα (weighted mean of Kα1 and Kα2)).
Peak positions follow from Bragg's law for the DFT cell and can differ from measured ones.

The 10 most intense peaks (2θ from 10° to 90°), low angle first:
two_theta	d_spacing	I/Imax	hkl
15.19	5.832	44	0 1 1
19.75	4.495	32	1 1 0
23.40	3.801	67	1 0 2
24.92	3.573	19	0 2 0
26.48	3.367	24	0 2 1
30.70	2.912	100	1 2 -1
30.80	2.903	27	1 0 3
30.93	2.891	35	2 0 0
33.21	2.697	13	1 1 -3
38.85	2.318	18	0 3 1

```
data_K2YPCO7
_chemical_formula_sum 'K4 Y2 P2 C2 O14'
_symmetry_space_group_name_H-M 'P 1 21/m 1'
_symmetry_Int_Tables_number 11
_symmetry_space_group_name_Hall '-P 2yb'
_cell_length_a 5.7825
_cell_length_b 7.1463
_cell_length_c 10.0924
_cell_angle_alpha 90.00
_cell_angle_beta 90.23
_cell_angle_gamma 90.00
loop_
_atom_site_label
_atom_site_type_symbol
_atom_site_fract_x
_atom_site_fract_y
_atom_site_fract_z
K1 K 0.2451 0.0149 0.2855
Y1 Y 0.2927 0.2500 0.8774
P1 P 0.2153 0.7500 0.9340
C1 C 0.2408 0.2500 0.6048
O1 O 0.0548 0.2500 0.0542
O2 O 0.0665 0.2500 0.6904
O3 O 0.2082 0.2500 0.4814
O4 O 0.2949 0.5707 0.8604
O5 O 0.3245 0.7500 0.0764
O6 O 0.4467 0.2500 0.6607
```



Entry 2:
For K3PuC2O8, a structure optimized by DFT (GGA-PBE) gives the calculated powder diffraction line list in this record (Cu Kα (weighted mean of Kα1 and Kα2)).
Peak positions follow from Bragg's law for the DFT cell and can differ from measured ones.

The 10 most intense peaks (2θ from 10° to 90°), low angle first:
two_theta	d_spacing	I/Imax	hkl
11.14	7.939	65	0 0 1
19.20	4.622	56	1 0 0
22.25	3.995	86	1 0 1
29.66	3.011	100	1 0 2
33.58	2.669	51	1 1 0
40.70	2.217	35	2 0 1
45.41	1.997	35	2 0 2
48.44	1.879	18	1 1 3
53.72	1.706	21	1 2 1
57.65	1.599	27	2 1 2

```
data_K3PuC2O8
_chemical_formula_sum 'K3 Pu1 C2 O8'
_symmetry_space_group_name_H-M 'P -3 m 1'
_symmetry_Int_Tables_number 164
_symmetry_space_group_name_Hall '-P 3 2"'
_cell_length_a 5.3374
_cell_length_b 5.3374
_cell_length_c 7.9392
_cell_angle_alpha 90.00
_cell_angle_beta 90.00
_cell_angle_gamma 120.00
loop_
_atom_site_label
_atom_site_type_symbol
_atom_site_fract_x
_atom_site_fract_y
_atom_site_fract_z
K1 K 0.0000 0.0000 0.0000
K2 K 0.3333 0.6667 0.7791
Pu1 Pu 0.0000 0.0000 0.5000
C1 C 0.3333 0.6667 0.2748
O1 O 0.1881 0.3762 0.3392
O2 O 0.3333 0.6667 0.1077
```